Diffraction record for Pm5Ge2O. The X-ray powder pattern is computed, not measured: it uses a structure optimized by DFT (GGA-PBE) and copper Kα.
Peak positions follow from Bragg's law for the DFT cell and can differ from measured ones.

Largest 8 diffraction maxima, by angle, 10° ≤ 2θ ≤ 90°:
| Position (°2θ) | I_rel |
| --- | --- |
| 24.12 | 24 |
| 25.96 | 27 |
| 30.26 | 34 |
| 32.34 | 100 |
| 32.65 | 58 |
| 35.73 | 51 |
| 36.75 | 39 |
| 56.01 | 30 |

Atomic structure:
Lattice parameters (Å, degrees): 8.872 7.872 5.639 80.24 60.97 38.78
Sites, in units of the cell vectors:
Pm (0.000, 0.000, 0.000)
Pm (0.212, 0.533, 0.467)
Pm (0.467, 0.788, 0.212)
Pm (0.533, 0.212, 0.788)
Pm (0.788, 0.467, 0.533)
Ge (0.194, 0.194, 0.806)
Ge (0.806, 0.806, 0.194)
O (0.500, 0.500, 0.500)

---

Diffraction record for Np2Al9Zn. The X-ray powder pattern is computed, not measured: it uses a structure optimized by DFT (GGA-PBE) and copper Kα.
Peak positions follow from Bragg's law for the DFT cell and can differ from measured ones.

Largest 8 diffraction maxima, by angle, 10° ≤ 2θ ≤ 90°:
| Position (°2θ) | I_rel |
| --- | --- |
| 21.11 | 70 |
| 21.48 | 34 |
| 30.02 | 30 |
| 30.29 | 58 |
| 37.21 | 100 |
| 42.98 | 34 |
| 53.48 | 25 |
| 74.95 | 26 |

Atomic structure:
Lattice parameters (Å, degrees): 4.209 4.209 12.411 90.00 90.00 90.00
Sites, in units of the cell vectors:
Np (0.000, 0.000, 0.174)
Np (0.000, 0.000, 0.826)
Al (0.000, 0.500, 0.000)
Al (0.000, 0.500, 0.348)
Al (0.000, 0.500, 0.652)
Al (0.500, 0.000, 0.000)
Al (0.500, 0.000, 0.348)
Al (0.500, 0.000, 0.652)
Al (0.500, 0.500, 0.170)
Al (0.500, 0.500, 0.500)
Al (0.500, 0.500, 0.830)
Zn (0.000, 0.000, 0.500)

---

Diffraction record for Ce2SiNi6Ge. The X-ray powder pattern is computed, not measured: it uses a structure optimized by DFT (GGA-PBE) and copper Kα.
Peak positions follow from Bragg's law for the DFT cell and can differ from measured ones.

Largest 8 diffraction maxima, by angle, 10° ≤ 2θ ≤ 90°:
| Position (°2θ) | I_rel |
| --- | --- |
| 29.90 | 72 |
| 34.17 | 26 |
| 35.85 | 64 |
| 37.57 | 70 |
| 40.20 | 100 |
| 50.90 | 43 |
| 61.41 | 24 |
| 62.12 | 36 |

Atomic structure:
Lattice parameters (Å, degrees): 11.049 11.049 11.049 31.39 31.39 31.39
Sites, in units of the cell vectors:
Ce (0.135, 0.135, 0.135)
Ce (0.299, 0.299, 0.299)
Ce (0.701, 0.701, 0.701)
Ce (0.865, 0.865, 0.865)
Si (0.000, 0.000, 0.000)
Si (0.500, 0.500, 0.500)
Ni (0.060, 0.647, 0.647)
Ni (0.189, 0.189, 0.793)
Ni (0.189, 0.793, 0.189)
Ni (0.207, 0.811, 0.811)
Ni (0.353, 0.353, 0.940)
Ni (0.353, 0.940, 0.353)
Ni (0.647, 0.060, 0.647)
Ni (0.647, 0.647, 0.060)
Ni (0.793, 0.189, 0.189)
Ni (0.811, 0.207, 0.811)
Ni (0.811, 0.811, 0.207)
Ni (0.940, 0.353, 0.353)
Ge (0.412, 0.412, 0.412)
Ge (0.588, 0.588, 0.588)

---

Diffraction record for CsAgSnCl6. The X-ray powder pattern is computed, not measured: it uses a structure optimized by DFT (GGA-PBE) and copper Kα.
Peak positions follow from Bragg's law for the DFT cell and can differ from measured ones.

Largest 8 diffraction maxima, by angle, 10° ≤ 2θ ≤ 90°:
| Position (°2θ) | I_rel |
| --- | --- |
| 11.62 | 27 |
| 18.75 | 100 |
| 25.54 | 24 |
| 28.14 | 17 |
| 31.88 | 20 |
| 34.88 | 64 |
| 41.28 | 26 |
| 45.03 | 20 |

Atomic structure:
Lattice parameters (Å, degrees): 6.975 6.975 7.617 90.00 90.00 120.00
Sites, in units of the cell vectors:
Cs (0.000, 0.000, 0.000)
Ag (0.333, 0.667, 0.500)
Sn (0.667, 0.333, 0.500)
Cl (0.388, 0.033, 0.689)
Cl (0.388, 0.355, 0.311)
Cl (0.645, 0.033, 0.311)
Cl (0.645, 0.612, 0.689)
Cl (0.967, 0.355, 0.689)
Cl (0.967, 0.612, 0.311)

---

Diffraction record for Tb2Ho2Mg3. The X-ray powder pattern is computed, not measured: it uses a structure optimized by DFT (GGA-PBE) and copper Kα.
Peak positions follow from Bragg's law for the DFT cell and can differ from measured ones.

Largest 8 diffraction maxima, by angle, 10° ≤ 2θ ≤ 90°:
| Position (°2θ) | I_rel |
| --- | --- |
| 23.12 | 84 |
| 26.76 | 20 |
| 29.99 | 100 |
| 35.66 | 94 |
| 47.26 | 41 |
| 49.32 | 54 |
| 60.58 | 29 |
| 64.05 | 21 |

Atomic structure:
Lattice parameters (Å, degrees): 8.159 8.159 8.159 109.47 109.47 109.47
Sites, in units of the cell vectors:
Tb (0.000, 0.834, 0.500)
Tb (0.500, 0.000, 0.834)
Tb (0.666, 0.666, 0.666)
Tb (0.834, 0.500, 0.000)
Ho (0.000, 0.358, 0.500)
Ho (0.142, 0.142, 0.142)
Ho (0.358, 0.500, 0.000)
Ho (0.500, 0.000, 0.358)
Mg (0.137, 0.750, 0.887)
Mg (0.250, 0.613, 0.363)
Mg (0.363, 0.250, 0.613)
Mg (0.613, 0.363, 0.250)
Mg (0.750, 0.887, 0.137)
Mg (0.887, 0.137, 0.750)

---

Diffraction record for Ce5NdSb5. The X-ray powder pattern is computed, not measured: it uses a structure optimized by DFT (GGA-PBE) and copper Kα.
Peak positions follow from Bragg's law for the DFT cell and can differ from measured ones.

Largest 8 diffraction maxima, by angle, 10° ≤ 2θ ≤ 90°:
| Position (°2θ) | I_rel |
| --- | --- |
| 28.20 | 100 |
| 40.28 | 64 |
| 40.42 | 13 |
| 49.85 | 14 |
| 49.99 | 14 |
| 65.94 | 18 |
| 66.04 | 12 |
| 73.18 | 13 |

Atomic structure:
Lattice parameters (Å, degrees): 7.737 7.737 8.962 106.82 106.82 48.36
Sites, in units of the cell vectors:
Ce (0.000, 0.000, 0.000)
Ce (0.334, 0.334, 0.167)
Ce (0.334, 0.334, 0.666)
Ce (0.666, 0.666, 0.334)
Ce (0.666, 0.666, 0.833)
Nd (0.000, 0.000, 0.500)
Sb (0.168, 0.168, 0.836)
Sb (0.169, 0.169, 0.332)
Sb (0.500, 0.500, 0.500)
Sb (0.831, 0.831, 0.668)
Sb (0.832, 0.832, 0.164)